# 1
Structure and simulated powder diffractogram of UCuPd5 (DFT lattice parameters and positions (PBE); Cu Kα, 1.54184 Å).

Structural model:
a = 7.388 Å, b = 7.388 Å, c = 7.388 Å
α = 114.38°, β = 82.86°, γ = 135.36°
Atoms (fractional coordinates):
U1 0.492 0.242 0.250
U2 0.508 0.758 0.750
Cu1 0.000 0.000 0.000
Cu2 0.500 0.000 0.500
Pd1 0.027 0.777 0.250
Pd2 0.119 0.271 0.395
Pd3 0.119 0.724 0.848
Pd4 0.376 0.271 0.652
Pd5 0.376 0.724 0.105
Pd6 0.624 0.276 0.895
Pd7 0.624 0.729 0.348
Pd8 0.881 0.276 0.152
Pd9 0.881 0.729 0.605
Pd10 0.973 0.223 0.750

Largest 10 diffraction maxima, most intense first, 10 to 90 degrees two-theta:
two_theta  d/Å  I (rel.)
39.57  2.278  100
39.21  2.298  70
46.04  1.971  46
16.00  5.539  43
42.60  2.122  35
66.61  1.404  35
35.87  2.503  34
27.49  3.245  31
45.31  2.002  30
80.38  1.195  23

---

# 2
Structure and simulated powder diffractogram of VCuPd3 (DFT lattice parameters and positions (PBE); Cu Kα, 1.54184 Å).

Structural model:
a = 4.140 Å, b = 5.385 Å, c = 7.073 Å
α = 90.00°, β = 90.00°, γ = 90.00°
Atoms (fractional coordinates):
V1 0.250 0.250 0.162
V2 0.750 0.750 0.838
Cu1 0.250 0.750 0.430
Cu2 0.750 0.250 0.570
Pd1 0.250 0.004 0.732
Pd2 0.250 0.496 0.732
Pd3 0.250 0.750 0.069
Pd4 0.750 0.250 0.931
Pd5 0.750 0.504 0.268
Pd6 0.750 0.996 0.268

Largest 10 diffraction maxima, most intense first, 10 to 90 degrees two-theta:
two_theta  d/Å  I (rel.)
42.02  2.150  100
44.21  2.049  57
42.19  2.142  41
43.73  2.070  40
37.38  2.406  26
62.38  1.489  25
27.17  3.282  22
24.92  3.573  18
86.51  1.125  16
79.15  1.210  15